1.
This entry pairs a crystal structure of MgTi3S6 with its theoretical powder XRD pattern. Radiation: CuKα. Structure: a GGA-PBE-relaxed structure.

Crystal structure
```
data_MgTi3S6
_symmetry_space_group_name_H-M 'P 1'
_symmetry_Int_Tables_number 1
_symmetry_space_group_name_Hall 'P 1'
_cell_length_a 3.496
_cell_length_b 3.496
_cell_length_c 19.148
_cell_angle_alpha 90.00
_cell_angle_beta 90.00
_cell_angle_gamma 60.01
loop_
_atom_site_label
_atom_site_type_symbol
_atom_site_fract_x
_atom_site_fract_y
_atom_site_fract_z
Mg1 Mg 0.000 0.000 0.000
Ti1 Ti 0.000 0.000 0.169
Ti2 Ti 0.000 0.000 0.831
Ti3 Ti 0.001 0.004 0.483
S1 S 0.333 0.331 0.410
S2 S 0.333 0.333 0.083
S3 S 0.333 0.333 0.764
S4 S 0.666 0.665 0.556
S5 S 0.667 0.667 0.236
S6 S 0.667 0.667 0.917
```

Top 10 peaks for 10° ≤ 2θ ≤ 90°, low angle first:
(0 0 3), 2θ 13.87, d 6.383, I 83
(1 0 3), 2θ 32.74, d 2.736, I 100
(1 0 6), 2θ 41.09, d 2.196, I 85
(2 1 0), 2θ 52.34, d 1.748, I 41
(1 1 9), 2θ 52.57, d 1.741, I 23
(2 1 3), 2θ 54.42, d 1.686, I 11
(2 2 3), 2θ 63.12, d 1.473, I 14
(2 2 6), 2θ 68.61, d 1.368, I 17
(1 2 12), 2θ 81.71, d 1.179, I 11
(3 1 3), 2θ 86.38, d 1.126, I 16

=====

2.
This entry pairs a crystal structure of MgTi3S6 with its theoretical powder XRD pattern. Radiation: CuKα. Structure: a GGA-PBE-relaxed structure.

Crystal structure
```
data_MgTi3S6
_symmetry_space_group_name_H-M 'P -3 m 1'
_symmetry_Int_Tables_number 164
_symmetry_space_group_name_Hall '-P 3 2"'
_cell_length_a 3.4989
_cell_length_b 3.4989
_cell_length_c 21.0028
_cell_angle_alpha 90.00
_cell_angle_beta 90.00
_cell_angle_gamma 120.00
loop_
_atom_site_label
_atom_site_type_symbol
_atom_site_fract_x
_atom_site_fract_y
_atom_site_fract_z
Mg1 Mg 0.0000 0.0000 0.0000
Ti1 Ti 0.0000 0.0000 0.1535
Ti2 Ti 0.0000 0.0000 0.5000
S1 S 0.3333 0.6667 0.2145
S2 S 0.3333 0.6667 0.5659
S3 S 0.3333 0.6667 0.9251
```

Top 10 peaks for 10° ≤ 2θ ≤ 90°, low angle first:
(0 0 3), 2θ 12.64, d 7.001, I 100
(0 1 3), 2θ 32.19, d 2.781, I 65
(0 1 6), 2θ 39.33, d 2.291, I 61
(1 0 8), 2θ 45.73, d 1.984, I 17
(1 0 9), 2θ 49.29, d 1.849, I 11
(1 1 0), 2θ 52.29, d 1.749, I 31
(1 1 3), 2θ 54.03, d 1.697, I 11
(1 0 11), 2θ 57.01, d 1.615, I 10
(2 0 6), 2θ 67.35, d 1.390, I 11
(1 1 14), 2θ 85.21, d 1.139, I 11

=====

3.
This entry pairs a crystal structure of MgTi4S8 with its theoretical powder XRD pattern. Radiation: CuKα. Structure: a GGA-PBE-relaxed structure.

Crystal structure
```
data_MgTi4S8
_symmetry_space_group_name_H-M 'R -3 m'
_symmetry_Int_Tables_number 166
_symmetry_space_group_name_Hall '-R 3 2"'
_cell_length_a 7.0569
_cell_length_b 7.0569
_cell_length_c 17.1272
_cell_angle_alpha 90.00
_cell_angle_beta 90.00
_cell_angle_gamma 120.00
loop_
_atom_site_label
_atom_site_type_symbol
_atom_site_fract_x
_atom_site_fract_y
_atom_site_fract_z
Mg1 Mg 0.0000 0.0000 0.0000
Ti1 Ti 0.0000 0.0000 0.5000
Ti2 Ti 0.0000 0.5000 0.0000
S1 S 0.0000 0.0000 0.2543
S2 S 0.0086 0.5043 0.2498
```

Top 10 peaks for 10° ≤ 2θ ≤ 90°, low angle first:
(1 0 1), 2θ 15.39, d 5.756, I 25
(0 0 3), 2θ 15.52, d 5.709, I 21
(0 2 1), 2θ 29.72, d 3.006, I 17
(0 2 4), 2θ 36.11, d 2.487, I 100
(2 2 0), 2θ 51.82, d 1.764, I 32
(2 0 8), 2θ 52.17, d 1.753, I 31
(4 0 4), 2θ 64.79, d 1.439, I 15
(0 4 8), 2θ 76.62, d 1.244, I 9
(2 4 4), 2θ 87.47, d 1.115, I 13
(2 2 12), 2θ 88.02, d 1.110, I 13

=====

4.
This entry pairs a crystal structure of MgTi4S8 with its theoretical powder XRD pattern. Radiation: CuKα. Structure: a GGA-PBE-relaxed structure.

Crystal structure
```
data_MgTi4S8
_symmetry_space_group_name_H-M 'I m m 2'
_symmetry_Int_Tables_number 44
_symmetry_space_group_name_Hall 'I 2 -2'
_cell_length_a 7.171
_cell_length_b 7.186
_cell_length_c 10.155
_cell_angle_alpha 90.00
_cell_angle_beta 90.00
_cell_angle_gamma 90.00
loop_
_atom_site_label
_atom_site_type_symbol
_atom_site_fract_x
_atom_site_fract_y
_atom_site_fract_z
Mg1 Mg 0.000 0.000 0.000
Ti1 Ti 0.000 0.234 0.382
Ti2 Ti 0.233 0.000 0.615
S1 S 0.000 0.241 0.619
S2 S 0.000 0.273 0.135
S3 S 0.228 0.500 0.362
S4 S 0.241 0.000 0.378
```

Top 10 peaks for 10° ≤ 2θ ≤ 90°, low angle first:
(1 0 1), 2θ 15.11, d 5.862, I 67
(1 2 1), 2θ 29.17, d 3.061, I 44
(2 2 0), 2θ 35.36, d 2.538, I 100
(2 3 1), 2θ 46.48, d 1.954, I 29
(2 2 4), 2θ 50.86, d 1.795, I 64
(4 0 0), 2θ 50.94, d 1.793, I 13
(2 3 3), 2θ 53.37, d 1.717, I 8
(4 0 4), 2θ 63.48, d 1.465, I 19
(4 4 0), 2θ 74.81, d 1.269, I 10
(4 4 4), 2θ 85.53, d 1.135, I 18